Starting from a crystal structure in Alexandria, relaxed with GGA+U, the X-ray powder pattern of ErPuCrO6 was calculated for Cu Kα (λ = 1.5418 Å).
Peak positions follow from Bragg's law for the DFT cell and can differ from measured ones.

Cell lengths 5.5296, 5.5296, 8.6987 Å; angles 90.00, 90.00, 120.00 degrees
Space group P-31c (No. 163)
One atom of each set of equivalent atoms:
Er1 0.3333 0.6667 0.2500 [2 per cell]
Pu1 0.3333 0.6667 0.7500 [2 per cell]
Cr1 0.0000 0.0000 0.0000 [2 per cell]
O1 0.0235 0.3359 0.6243 [12 per cell]

The 10 most intense peaks (2θ = 10–90°), sorted by position:
| 2theta | I_rel | h k l |
| --- | --- | --- |
| 18.53 | 39 | 1 0 0 |
| 20.42 | 62 | 0 0 2 |
| 27.71 | 100 | 1 0 2 |
| 32.38 | 84 | 1 1 0 |
| 38.59 | 82 | 1 1 2 |
| 43.13 | 30 | 2 0 2 |
| 53.62 | 61 | 2 -1 4 |
| 54.95 | 30 | 3 -1 2 |
| 57.76 | 28 | 3 0 0 |
| 61.92 | 20 | 3 0 2 |